# Ac2Mn2Se2S3
Calculated X-ray diffraction stick pattern, Cu Kα (weighted mean of Kα1 and Kα2). Input: a structure optimized by DFT (GGA-PBE).

Largest 10 diffraction maxima, in order of falling intensity, 2θ from 10° to 80°:
- hkl 1 0 3, 23.0 deg, rel. 100.0
- hkl 1 0 5, 29.2 deg, rel. 68.4
- hkl 2 0 0, 37.8 deg, rel. 61.3
- hkl 1 1 4, 32.1 deg, rel. 56.9
- hkl 1 1 0, 26.5 deg, rel. 48.0
- hkl 2 1 3, 44.7 deg, rel. 36.8
- hkl 2 1 5, 48.5 deg, rel. 33.6
- hkl 1 0 9, 45.1 deg, rel. 23.5
- hkl 1 1 8, 45.3 deg, rel. 22.3
- hkl 1 0 7, 36.8 deg, rel. 22.2

Atomic structure:
```
data_Ac2Mn2Se2S3
_chemical_formula_sum 'Ac4 Mn4 Se4 S6'
_space_group_name_H-M_alt 'I 4/m m m'
_space_group_IT_number 139
_space_group_name_Hall '-I 4 2'
_cell_length_a 4.760
_cell_length_b 4.760
_cell_length_c 19.952
_cell_angle_alpha 90.00
_cell_angle_beta 90.00
_cell_angle_gamma 90.00
loop_
_atom_site_label
_atom_site_type_symbol
_atom_site_fract_x
_atom_site_fract_y
_atom_site_fract_z
Ac1 Ac 0.000 0.000 0.169
Mn1 Mn 0.000 0.500 0.000
Se1 Se 0.000 0.000 0.412
S1 S 0.000 0.000 0.000
S2 S 0.000 0.500 0.250
```

# In2CuTcGe
Calculated X-ray diffraction stick pattern, Cu Kα (weighted mean of Kα1 and Kα2). Input: a structure optimized by DFT (GGA-PBE).

Largest 10 diffraction maxima, in order of falling intensity, 2θ from 10° to 80°:
- hkl 1 1 1, 30.7 deg, rel. 100.0
- hkl 2 0 0, 34.4 deg, rel. 78.6
- hkl 2 0 2, 52.2 deg, rel. 46.4
- hkl 0 0 2, 38.0 deg, rel. 29.8
- hkl 3 1 1, 59.3 deg, rel. 28.9
- hkl 2 2 0, 49.4 deg, rel. 27.4
- hkl 2 2 2, 64.0 deg, rel. 24.5
- hkl 1 0 0, 17.0 deg, rel. 23.1
- hkl 0 0 1, 18.7 deg, rel. 14.9
- hkl 1 1 3, 64.1 deg, rel. 11.3

Atomic structure:
```
data_In2CuTcGe
_chemical_formula_sum 'In2 Cu1 Tc1 Ge1'
_space_group_name_H-M_alt 'P 4/m m m'
_space_group_IT_number 123
_space_group_name_Hall '-P 4 2'
_cell_length_a 5.218
_cell_length_b 5.218
_cell_length_c 4.738
_cell_angle_alpha 90.00
_cell_angle_beta 90.00
_cell_angle_gamma 90.00
loop_
_atom_site_label
_atom_site_type_symbol
_atom_site_fract_x
_atom_site_fract_y
_atom_site_fract_z
In1 In 0.000 0.500 0.000
Cu1 Cu 0.000 0.000 0.500
Tc1 Tc 0.500 0.500 0.500
Ge1 Ge 0.500 0.500 0.000
```

# HoThNi3
Calculated X-ray diffraction stick pattern, Cu Kα (weighted mean of Kα1 and Kα2). Input: a structure optimized by DFT (GGA-PBE).

Largest 10 diffraction maxima, in order of falling intensity, 2θ from 10° to 80°:
- hkl 1 7 0, 34.3 deg, rel. 100.0
- hkl 0 4 1, 26.7 deg, rel. 22.6
- hkl 0 10 1, 42.9 deg, rel. 20.8
- hkl 1 7 2, 58.5 deg, rel. 15.5
- hkl 0 0 2, 45.8 deg, rel. 13.9
- hkl 2 0 0, 47.3 deg, rel. 12.6
- hkl 1 5 1, 37.3 deg, rel. 11.6
- hkl 0 8 0, 28.7 deg, rel. 11.6
- hkl 2 10 1, 65.7 deg, rel. 11.4
- hkl 2 0 2, 67.9 deg, rel. 8.4

Atomic structure:
```
data_HoThNi3
_chemical_formula_sum 'Ho4 Th4 Ni12'
_space_group_name_H-M_alt 'C m c m'
_space_group_IT_number 63
_space_group_name_Hall '-C 2c 2'
_cell_length_a 3.844
_cell_length_b 24.905
_cell_length_c 3.963
_cell_angle_alpha 90.00
_cell_angle_beta 90.00
_cell_angle_gamma 90.00
loop_
_atom_site_label
_atom_site_type_symbol
_atom_site_fract_x
_atom_site_fract_y
_atom_site_fract_z
Ho1 Ho 0.000 0.205 0.250
Th1 Th 0.000 0.072 0.750
Ni1 Ni 0.000 0.323 0.250
Ni2 Ni 0.000 0.378 0.750
Ni3 Ni 0.000 0.473 0.750
```

# PrDy4Sc3
Calculated X-ray diffraction stick pattern, Cu Kα (weighted mean of Kα1 and Kα2). Input: a structure optimized by DFT (GGA-PBE).

Largest 10 diffraction maxima, in order of falling intensity, 2θ from 10° to 80°:
- hkl 0 2 4, 32.6 deg, rel. 100.0
- hkl 1 2 3, 38.0 deg, rel. 63.5
- hkl 0 4 0, 31.8 deg, rel. 54.7
- hkl 1 0 1, 27.7 deg, rel. 50.6
- hkl 0 2 0, 15.7 deg, rel. 44.4
- hkl 1 4 1, 42.7 deg, rel. 31.7
- hkl 1 2 1, 32.1 deg, rel. 29.2
- hkl 2 2 4, 65.6 deg, rel. 25.9
- hkl 1 6 3, 60.8 deg, rel. 24.3
- hkl 1 1 2, 31.4 deg, rel. 21.1

Atomic structure:
```
data_PrDy4Sc3
_chemical_formula_sum 'Pr2 Dy8 Sc6'
_space_group_name_H-M_alt 'I m m m'
_space_group_IT_number 71
_space_group_name_Hall '-I 2 2'
_cell_length_a 3.325
_cell_length_b 11.261
_cell_length_c 12.595
_cell_angle_alpha 90.00
_cell_angle_beta 90.00
_cell_angle_gamma 90.00
loop_
_atom_site_label
_atom_site_type_symbol
_atom_site_fract_x
_atom_site_fract_y
_atom_site_fract_z
Pr1 Pr 0.000 0.000 0.000
Dy1 Dy 0.000 0.255 0.133
Sc1 Sc 0.000 0.000 0.500
Sc2 Sc 0.000 0.500 0.258
```

# Ca4TlSn2
Calculated X-ray diffraction stick pattern, Cu Kα (weighted mean of Kα1 and Kα2). Input: a structure optimized by DFT (GGA-PBE).

Largest 10 diffraction maxima, in order of falling intensity, 2θ from 10° to 80°:
- hkl 1 1 0, 33.1 deg, rel. 100.0
- hkl 0 1 8, 33.2 deg, rel. 98.4
- hkl 3 0 0, 59.2 deg, rel. 55.4
- hkl 0 0 3, 10.1 deg, rel. 51.2
- hkl 1 0 4, 23.3 deg, rel. 45.6
- hkl 1 0 1, 19.2 deg, rel. 38.8
- hkl 2 0 8, 47.6 deg, rel. 35.5
- hkl 0 1 5, 25.4 deg, rel. 22.8
- hkl 1 0 7, 30.4 deg, rel. 19.4
- hkl 1 0 16, 59.4 deg, rel. 17.8

Atomic structure:
```
data_Ca4TlSn2
_chemical_formula_sum 'Ca12 Tl3 Sn6'
_space_group_name_H-M_alt 'R -3 m'
_space_group_IT_number 166
_space_group_name_Hall '-R 3 2"'
_cell_length_a 5.4101
_cell_length_b 5.4101
_cell_length_c 26.3814
_cell_angle_alpha 90.00
_cell_angle_beta 90.00
_cell_angle_gamma 120.00
loop_
_atom_site_label
_atom_site_type_symbol
_atom_site_fract_x
_atom_site_fract_y
_atom_site_fract_z
Ca1 Ca 0.0000 0.0000 0.1209
Ca2 Ca 0.0000 0.0000 0.3726
Tl1 Tl 0.0000 0.0000 0.5000
Sn1 Sn 0.0000 0.0000 0.2497
```

# Zr3ScN3
Calculated X-ray diffraction stick pattern, Cu Kα (weighted mean of Kα1 and Kα2). Input: a structure optimized by DFT (GGA-PBE).

Largest 10 diffraction maxima, in order of falling intensity, 2θ from 10° to 80°:
- hkl 0 2 2, 34.7 deg, rel. 100.0
- hkl 2 2 0, 32.5 deg, rel. 99.1
- hkl 2 0 -2, 33.7 deg, rel. 97.2
- hkl 1 3 0, 32.0 deg, rel. 87.8
- hkl 1 3 -2, 41.2 deg, rel. 84.8
- hkl 1 1 2, 35.7 deg, rel. 61.2
- hkl 3 1 0, 40.5 deg, rel. 55.7
- hkl 1 1 -4, 58.2 deg, rel. 41.4
- hkl 2 0 0, 25.9 deg, rel. 34.1
- hkl 2 2 2, 48.1 deg, rel. 33.0

Atomic structure:
```
data_Zr3ScN3
_chemical_formula_sum 'Zr12 Sc4 N12'
_space_group_name_H-M_alt 'C 1 2/m 1'
_space_group_IT_number 12
_space_group_name_Hall '-C 2y'
_cell_length_a 7.099
_cell_length_b 9.174
_cell_length_c 6.442
_cell_angle_alpha 90.00
_cell_angle_beta 104.07
_cell_angle_gamma 90.00
loop_
_atom_site_label
_atom_site_type_symbol
_atom_site_fract_x
_atom_site_fract_y
_atom_site_fract_z
Zr1 Zr 0.000 0.176 0.000
Zr2 Zr 0.000 0.209 0.500
Zr3 Zr 0.156 0.500 0.172
Sc1 Sc 0.216 0.500 0.664
N1 N 0.021 0.000 0.746
N2 N 0.125 0.350 0.856
```

# Cs2Cd2S3
Calculated X-ray diffraction stick pattern, Cu Kα (weighted mean of Kα1 and Kα2). Input: a structure optimized by DFT (GGA-PBE).

Largest 10 diffraction maxima, in order of falling intensity, 2θ from 10° to 80°:
- hkl 1 1 -2, 29.6 deg, rel. 100.0
- hkl 2 0 1, 23.9 deg, rel. 81.9
- hkl 3 1 -1, 27.6 deg, rel. 72.8
- hkl 1 1 1, 27.0 deg, rel. 61.8
- hkl 3 1 0, 30.4 deg, rel. 58.5
- hkl 4 0 -2, 25.8 deg, rel. 52.9
- hkl 2 0 -3, 31.1 deg, rel. 46.1
- hkl 1 1 -1, 22.9 deg, rel. 40.2
- hkl 0 2 0, 41.6 deg, rel. 39.6
- hkl 5 1 0, 43.0 deg, rel. 37.3

Atomic structure:
```
data_Cs2Cd2S3
_chemical_formula_sum 'Cs4 Cd4 S6'
_space_group_name_H-M_alt 'C 1 2/m 1'
_space_group_IT_number 12
_space_group_name_Hall '-C 2y'
_cell_length_a 14.498
_cell_length_b 4.339
_cell_length_c 8.768
_cell_angle_alpha 90.00
_cell_angle_beta 123.96
_cell_angle_gamma 90.00
loop_
_atom_site_label
_atom_site_type_symbol
_atom_site_fract_x
_atom_site_fract_y
_atom_site_fract_z
Cs1 Cs 0.063 0.000 0.342
Cd1 Cd 0.194 0.500 0.075
S1 S 0.000 0.500 0.000
S2 S 0.190 0.500 0.764
```

# Cu2Pt2Au
Calculated X-ray diffraction stick pattern, Cu Kα (weighted mean of Kα1 and Kα2). Input: a structure optimized by DFT (GGA-PBE).

Largest 10 diffraction maxima, in order of falling intensity, 2θ from 10° to 80°:
- hkl 1 5 0, 39.9 deg, rel. 100.0
- hkl 1 1 1, 46.6 deg, rel. 52.8
- hkl 0 6 1, 42.7 deg, rel. 50.8
- hkl 1 5 1, 52.2 deg, rel. 35.0
- hkl 0 0 1, 32.2 deg, rel. 35.0
- hkl 1 11 1, 71.6 deg, rel. 28.8
- hkl 0 10 0, 46.4 deg, rel. 28.3
- hkl 0 4 1, 37.2 deg, rel. 28.0
- hkl 0 6 0, 27.3 deg, rel. 27.8
- hkl 1 1 0, 32.7 deg, rel. 17.4

Atomic structure:
```
data_Cu2Pt2Au
_chemical_formula_sum 'Cu4 Pt4 Au2'
_space_group_name_H-M_alt 'C m m m'
_space_group_IT_number 65
_space_group_name_Hall '-C 2 2'
_cell_length_a 2.763
_cell_length_b 19.587
_cell_length_c 2.777
_cell_angle_alpha 90.00
_cell_angle_beta 90.00
_cell_angle_gamma 90.00
loop_
_atom_site_label
_atom_site_type_symbol
_atom_site_fract_x
_atom_site_fract_y
_atom_site_fract_z
Cu1 Cu 0.000 0.099 0.000
Pt1 Pt 0.000 0.309 0.500
Au1 Au 0.000 0.500 0.500
```

# KGa4Pt
Calculated X-ray diffraction stick pattern, Cu Kα (weighted mean of Kα1 and Kα2). Input: a structure optimized by DFT (GGA-PBE).

Largest 10 diffraction maxima, in order of falling intensity, 2θ from 10° to 80°:
- hkl 0 0 1, 12.8 deg, rel. 100.0
- hkl 1 1 1, 19.0 deg, rel. 46.4
- hkl 0 0 3, 39.1 deg, rel. 39.9
- hkl 1 -1 1, 23.4 deg, rel. 28.2
- hkl 2 -1 0, 31.2 deg, rel. 27.5
- hkl 0 0 2, 25.8 deg, rel. 26.1
- hkl 3 -1 0, 44.9 deg, rel. 21.0
- hkl 2 1 2, 32.5 deg, rel. 17.8
- hkl 1 3 -1, 52.5 deg, rel. 14.8
- hkl 3 1 1, 42.6 deg, rel. 13.6

Atomic structure:
```
data_KGa4Pt
_chemical_formula_sum 'K2 Ga8 Pt2'
_space_group_name_H-M_alt 'P -1'
_space_group_IT_number 2
_space_group_name_Hall '-P 1'
_cell_length_a 6.612
_cell_length_b 6.632
_cell_length_c 7.577
_cell_angle_alpha 72.57
_cell_angle_beta 72.92
_cell_angle_gamma 86.60
loop_
_atom_site_label
_atom_site_type_symbol
_atom_site_fract_x
_atom_site_fract_y
_atom_site_fract_z
K1 K 0.197 0.201 0.432
Ga1 Ga 0.143 0.144 0.978
Ga2 Ga 0.283 0.565 0.681
Ga3 Ga 0.339 0.663 0.997
Ga4 Ga 0.435 0.722 0.321
Pt1 Pt 0.000 0.500 0.000
Pt2 Pt 0.500 0.000 0.000
```

# Tb6ZnHg
Calculated X-ray diffraction stick pattern, Cu Kα (weighted mean of Kα1 and Kα2). Input: a structure optimized by DFT (GGA-PBE).

Largest 10 diffraction maxima, in order of falling intensity, 2θ from 10° to 80°:
- hkl 1 1 4, 32.2 deg, rel. 100.0
- hkl 2 0 0, 35.2 deg, rel. 43.1
- hkl 3 1 4, 61.3 deg, rel. 31.7
- hkl 2 0 8, 55.3 deg, rel. 16.2
- hkl 2 2 0, 50.7 deg, rel. 15.4
- hkl 0 0 8, 41.2 deg, rel. 9.5
- hkl 2 2 8, 67.3 deg, rel. 9.0
- hkl 4 0 0, 74.5 deg, rel. 4.9
- hkl 1 1 12, 69.5 deg, rel. 4.9
- hkl 1 1 10, 58.6 deg, rel. 4.7

Atomic structure:
```
data_Tb6ZnHg
_chemical_formula_sum 'Tb12 Zn2 Hg2'
_space_group_name_H-M_alt 'I 4/m m m'
_space_group_IT_number 139
_space_group_name_Hall '-I 4 2'
_cell_length_a 5.097
_cell_length_b 5.097
_cell_length_c 17.511
_cell_angle_alpha 90.00
_cell_angle_beta 90.00
_cell_angle_gamma 90.00
loop_
_atom_site_label
_atom_site_type_symbol
_atom_site_fract_x
_atom_site_fract_y
_atom_site_fract_z
Tb1 Tb 0.000 0.000 0.249
Tb2 Tb 0.000 0.500 0.108
Zn1 Zn 0.000 0.000 0.000
Hg1 Hg 0.000 0.000 0.500
```

# CeSiGePd2
Calculated X-ray diffraction stick pattern, Cu Kα (weighted mean of Kα1 and Kα2). Input: a structure optimized by DFT (GGA-PBE).

Largest 10 diffraction maxima, in order of falling intensity, 2θ from 10° to 80°:
- hkl 1 1 2, 34.7 deg, rel. 100.0
- hkl 2 0 0, 42.5 deg, rel. 43.2
- hkl 1 0 3, 33.9 deg, rel. 32.3
- hkl 3 1 2, 72.7 deg, rel. 22.5
- hkl 2 1 3, 55.4 deg, rel. 15.6
- hkl 2 2 0, 61.7 deg, rel. 14.1
- hkl 1 0 5, 49.8 deg, rel. 13.5
- hkl 1 1 6, 63.1 deg, rel. 12.6
- hkl 2 0 4, 56.5 deg, rel. 11.7
- hkl 0 0 4, 35.4 deg, rel. 11.3

Atomic structure:
```
data_CeSiGePd2
_chemical_formula_sum 'Ce2 Si2 Ge2 Pd4'
_space_group_name_H-M_alt 'I 4 m m'
_space_group_IT_number 107
_space_group_name_Hall 'I 4 -2'
_cell_length_a 4.255
_cell_length_b 4.255
_cell_length_c 10.138
_cell_angle_alpha 90.00
_cell_angle_beta 90.00
_cell_angle_gamma 90.00
loop_
_atom_site_label
_atom_site_type_symbol
_atom_site_fract_x
_atom_site_fract_y
_atom_site_fract_z
Ce1 Ce 0.000 0.000 0.000
Si1 Si 0.000 0.000 0.377
Ge1 Ge 0.000 0.000 0.614
Pd1 Pd 0.000 0.500 0.256
```

# RbNa2Hg2Br7
Calculated X-ray diffraction stick pattern, Cu Kα (weighted mean of Kα1 and Kα2). Input: a structure optimized by DFT (GGA-PBE).

Largest 10 diffraction maxima, in order of falling intensity, 2θ from 10° to 80°:
- hkl 0 0 2, 25.2 deg, rel. 100.0
- hkl 2 0 0, 30.6 deg, rel. 72.7
- hkl 0 1 1, 13.3 deg, rel. 59.5
- hkl 2 0 2, 40.0 deg, rel. 59.1
- hkl 1 1 0, 15.8 deg, rel. 55.9
- hkl 0 3 1, 18.1 deg, rel. 46.3
- hkl 1 4 1, 26.4 deg, rel. 40.6
- hkl 0 8 0, 35.2 deg, rel. 32.9
- hkl 1 0 1, 19.7 deg, rel. 32.3
- hkl 2 5 3, 54.9 deg, rel. 30.8

Atomic structure:
```
data_RbNa2Hg2Br7
_chemical_formula_sum 'Rb2 Na4 Hg4 Br14'
_space_group_name_H-M_alt 'I m m 2'
_space_group_IT_number 44
_space_group_name_Hall 'I 2 -2'
_cell_length_a 5.848
_cell_length_b 20.396
_cell_length_c 7.061
_cell_angle_alpha 90.00
_cell_angle_beta 90.00
_cell_angle_gamma 90.00
loop_
_atom_site_label
_atom_site_type_symbol
_atom_site_fract_x
_atom_site_fract_y
_atom_site_fract_z
Rb1 Rb 0.000 0.000 0.000
Na1 Na 0.000 0.254 0.532
Hg1 Hg 0.000 0.388 0.992
Br1 Br 0.000 0.112 0.552
Br2 Br 0.000 0.260 0.109
Br3 Br 0.000 0.395 0.617
Br4 Br 0.000 0.500 0.199
```